The following is a theoretical powder XRD pattern of TlCu2Sb. It was derived from a PBE-relaxed structure, using Cu Kα.
No peak broadening, texture or thermal motion is included.

Crystal structure
```
data_TlCu2Sb
_chemical_formula_sum 'Tl1 Cu2 Sb1'
_cell_length_a 3.412
_cell_length_b 4.019
_cell_length_c 6.117
_cell_angle_alpha 90.00
_cell_angle_beta 90.12
_cell_angle_gamma 90.00
_space_group_name_H-M_alt 'P 1 2/m 1'
_space_group_IT_number 10
loop_
_space_group_symop_operation_xyz
'x,y,z'
'-x,-y,-z'
'-x,y,-z'
'x,-y,z'
loop_
_atom_site_label
_atom_site_type_symbol
_atom_site_fract_x
_atom_site_fract_y
_atom_site_fract_z
_atom_site_occupancy
Tl1 Tl 0.000 0.000 0.000 1
Cu1 Cu 0.493 0.500 0.790 1
Sb1 Sb 0.500 0.000 0.500 1
```

Peak list (10 most intense, 15 to 90 degrees two-theta, by intensity)
hkl	two_theta	d/Å	intensity
1 1 -1	37.6	2.394	100
0 1 2	36.9	2.434	81
1 0 1	30.0	2.980	59
0 1 0	22.1	4.019	25
0 2 0	45.1	2.009	25
1 1 0	34.5	2.601	24
1 2 1	55.1	1.666	22
1 2 -3	71.5	1.320	22
0 0 2	29.2	3.058	15
2 0 0	53.7	1.706	15

The following is a theoretical powder XRD pattern of Ta4Tc2W. It was derived from a PBE-relaxed structure, using Cu Kα.
No peak broadening, texture or thermal motion is included.

Crystal structure
```
data_Ta4Tc2W
_chemical_formula_sum 'Ta8 Tc4 W2'
_cell_length_a 6.341
_cell_length_b 6.341
_cell_length_c 6.317
_cell_angle_alpha 90.00
_cell_angle_beta 90.00
_cell_angle_gamma 90.00
_space_group_name_H-M_alt 'I 4/m m m'
_space_group_IT_number 139
_space_group_name_Hall '-I 4 2'
loop_
_atom_site_label
_atom_site_type_symbol
_atom_site_fract_x
_atom_site_fract_y
_atom_site_fract_z
_atom_site_occupancy
Ta1 Ta 0.250 0.250 0.250 1
Tc1 Tc 0.000 0.500 0.000 1
W1 W 0.000 0.000 0.000 1
```

Peak list (10 most intense, 15 to 90 degrees two-theta, by intensity)
hkl	two_theta	d/Å	intensity
2 2 0	40.3	2.239	100
4 2 2	73.2	1.293	23
2 2 4	73.3	1.291	11
4 0 0	58.2	1.585	11
1 0 1	19.8	4.475	11
2 0 0	28.1	3.170	8
4 0 4	87.1	1.119	8
0 0 4	58.4	1.579	6
2 1 1	34.7	2.587	6
0 0 2	28.3	3.158	4

Repeat the first record exactly.
The following is a theoretical powder XRD pattern of TlCu2Sb. It was derived from a PBE-relaxed structure, using Cu Kα.
No peak broadening, texture or thermal motion is included.

Crystal structure
```
data_TlCu2Sb
_chemical_formula_sum 'Tl1 Cu2 Sb1'
_cell_length_a 3.412
_cell_length_b 4.019
_cell_length_c 6.117
_cell_angle_alpha 90.00
_cell_angle_beta 90.12
_cell_angle_gamma 90.00
_space_group_name_H-M_alt 'P 1 2/m 1'
_space_group_IT_number 10
loop_
_space_group_symop_operation_xyz
'x,y,z'
'-x,-y,-z'
'-x,y,-z'
'x,-y,z'
loop_
_atom_site_label
_atom_site_type_symbol
_atom_site_fract_x
_atom_site_fract_y
_atom_site_fract_z
_atom_site_occupancy
Tl1 Tl 0.000 0.000 0.000 1
Cu1 Cu 0.493 0.500 0.790 1
Sb1 Sb 0.500 0.000 0.500 1
```

Peak list (10 most intense, 15 to 90 degrees two-theta, by intensity)
hkl	two_theta	d/Å	intensity
1 1 -1	37.6	2.394	100
0 1 2	36.9	2.434	81
1 0 1	30.0	2.980	59
0 1 0	22.1	4.019	25
0 2 0	45.1	2.009	25
1 1 0	34.5	2.601	24
1 2 1	55.1	1.666	22
1 2 -3	71.5	1.320	22
0 0 2	29.2	3.058	15
2 0 0	53.7	1.706	15

What did the first record say?
The following is a theoretical powder XRD pattern of TlCu2Sb. It was derived from a PBE-relaxed structure, using Cu Kα.
No peak broadening, texture or thermal motion is included.

Crystal structure
```
data_TlCu2Sb
_chemical_formula_sum 'Tl1 Cu2 Sb1'
_cell_length_a 3.412
_cell_length_b 4.019
_cell_length_c 6.117
_cell_angle_alpha 90.00
_cell_angle_beta 90.12
_cell_angle_gamma 90.00
_space_group_name_H-M_alt 'P 1 2/m 1'
_space_group_IT_number 10
loop_
_space_group_symop_operation_xyz
'x,y,z'
'-x,-y,-z'
'-x,y,-z'
'x,-y,z'
loop_
_atom_site_label
_atom_site_type_symbol
_atom_site_fract_x
_atom_site_fract_y
_atom_site_fract_z
_atom_site_occupancy
Tl1 Tl 0.000 0.000 0.000 1
Cu1 Cu 0.493 0.500 0.790 1
Sb1 Sb 0.500 0.000 0.500 1
```

Peak list (10 most intense, 15 to 90 degrees two-theta, by intensity)
hkl	two_theta	d/Å	intensity
1 1 -1	37.6	2.394	100
0 1 2	36.9	2.434	81
1 0 1	30.0	2.980	59
0 1 0	22.1	4.019	25
0 2 0	45.1	2.009	25
1 1 0	34.5	2.601	24
1 2 1	55.1	1.666	22
1 2 -3	71.5	1.320	22
0 0 2	29.2	3.058	15
2 0 0	53.7	1.706	15